(1)
Theoretical XRD peak list
Compound: KNaPAu
Radiation: Cu Kα (λ = 1.5418 Å)
Structure: a crystal structure in OQMD, relaxed with PBE
Peak positions follow from Bragg's law for the DFT cell and can differ from measured ones.

The 10 most intense peaks (2θ = 15–90°), sorted by position:
two_theta  intensity
15.64  100
19.05  36
31.42  34
31.58  20
32.94  51
34.78  22
38.47  22
39.07  18
43.27  24
57.11  14

Cell and atoms:
Cell: 6.1979 5.8677 5.8677 Å, 74.92 90.00 90.00°
Fractional positions:
K 0.2500 0.1512 0.8488
K 0.7500 0.8488 0.1512
Na 0.2500 0.5007 0.2107
Na 0.7500 0.2107 0.5007
P 0.2500 0.9248 0.4060
P 0.7500 0.4060 0.9248
Au 0.0000 0.6803 0.6803
Au 0.5000 0.6803 0.6803


(2)
Theoretical XRD peak list
Compound: Nb2AlCo3
Radiation: Cu Kα (λ = 1.5418 Å)
Structure: a crystal structure in OQMD, relaxed with PBE
Peak positions follow from Bragg's law for the DFT cell and can differ from measured ones.

The 10 most intense peaks (2θ = 15–90°), sorted by position:
two_theta  intensity
25.53  11
30.13  17
41.20  100
45.01  78
55.59  7
62.65  27
72.37  15
80.41  26
83.05  12
89.43  9

Cell and atoms:
Cell: 4.0285 4.0285 5.6324 Å, 90.00 90.00 120.00°
Fractional positions:
Nb 0.3333 0.6667 0.3185
Nb 0.6667 0.3333 0.6815
Al 0.0000 0.0000 0.0000
Co 0.0000 0.0000 0.5000
Co 0.3333 0.6667 0.8587
Co 0.6667 0.3333 0.1413


(3)
Theoretical XRD peak list
Compound: SrNi2B2
Radiation: Cu Kα (λ = 1.5418 Å)
Structure: a crystal structure in OQMD, relaxed with PBE
Peak positions follow from Bragg's law for the DFT cell and can differ from measured ones.

The 10 most intense peaks (2θ = 15–90°), sorted by position:
two_theta  intensity
26.88  15
30.81  47
34.97  85
37.05  100
44.65  14
46.36  26
51.72  31
51.99  11
56.27  18
67.97  28

Cell and atoms:
Cell: 6.3017 13.2670 3.2699 Å, 90.00 90.00 90.00°
Fractional positions:
Sr 0.1397 0.1025 0.0000
Sr 0.3603 0.6025 0.5000
Sr 0.6397 0.3975 0.5000
Sr 0.8603 0.8975 0.0000
Ni 0.1269 0.7408 0.0000
Ni 0.1923 0.3687 0.0000
Ni 0.3077 0.8687 0.5000
Ni 0.3731 0.2408 0.5000
Ni 0.6269 0.7592 0.5000
Ni 0.6923 0.1313 0.5000
Ni 0.8077 0.6313 0.0000
Ni 0.8731 0.2592 0.0000
B 0.0600 0.3101 0.5000
B 0.0684 0.4460 0.5000
B 0.4316 0.9460 0.0000
B 0.4400 0.8101 0.0000
B 0.5600 0.1899 0.0000
B 0.5684 0.0540 0.0000
B 0.9316 0.5540 0.5000
B 0.9400 0.6899 0.5000


(4)
Theoretical XRD peak list
Compound: ZrTlCoAu
Radiation: Cu Kα (λ = 1.5418 Å)
Structure: a crystal structure in OQMD, relaxed with PBE
Peak positions follow from Bragg's law for the DFT cell and can differ from measured ones.

The 9 most intense peaks (2θ = 15–90°), sorted by position:
two_theta  intensity
23.23  1
26.88  24
38.38  100
47.48  7
55.41  17
62.64  10
69.42  35
82.22  11
88.43  5

Cell and atoms:
Cell: 4.6902 4.6902 4.6902 Å, 60.00 60.00 60.00°
Fractional positions:
Zr 0.0000 0.0000 0.0000
Tl 0.2500 0.2500 0.2500
Co 0.5000 0.5000 0.5000
Au 0.7500 0.7500 0.7500


(5)
Theoretical XRD peak list
Compound: NaMo6Br13
Radiation: Cu Kα (λ = 1.5418 Å)
Structure: a crystal structure in OQMD, relaxed with PBE
Peak positions follow from Bragg's law for the DFT cell and can differ from measured ones.

The 10 most intense peaks (2θ = 15–90°), sorted by position:
two_theta  intensity
27.84  59
28.66  88
28.87  46
29.16  93
39.40  69
41.32  69
42.24  60
42.39  73
42.96  100
44.02  63

Cell and atoms:
Cell: 9.5431 9.6788 14.8499 Å, 97.09 101.41 115.07°
Fractional positions:
Na 0.0010 0.2555 0.2303
Na 0.9990 0.7445 0.7697
Mo 0.3057 0.4955 0.9389
Mo 0.3173 0.8840 0.5384
Mo 0.3724 0.0426 0.4054
Mo 0.3975 0.2804 0.9761
Mo 0.4488 0.5128 0.1158
Mo 0.4596 0.8178 0.4151
Mo 0.5404 0.1822 0.5849
Mo 0.5512 0.4872 0.8842
Mo 0.6025 0.7196 0.0239
Mo 0.6276 0.9574 0.5946
Mo 0.6827 0.1160 0.4616
Mo 0.6943 0.5045 0.0611
Br 0.0365 0.4956 0.8578
Br 0.0580 0.7174 0.5884
Br 0.1545 0.7474 0.3634
Br 0.1558 0.2882 0.0302
Br 0.1896 0.0842 0.2654
Br 0.2345 0.1108 0.5283
Br 0.2550 0.9731 0.9382
Br 0.2561 0.2667 0.8018
Br 0.3547 0.7196 0.0750
Br 0.3867 0.5426 0.2901
Br 0.4065 0.6620 0.5477
Br 0.4612 0.7002 0.8487
Br 0.4812 0.0205 0.7139
Br 0.5188 0.9795 0.2861
Br 0.5388 0.2998 0.1513
Br 0.5935 0.3380 0.4523
Br 0.6133 0.4574 0.7099
Br 0.6453 0.2804 0.9250
Br 0.7439 0.7333 0.1982
Br 0.7450 0.0269 0.0618
Br 0.7655 0.8892 0.4717
Br 0.8104 0.9158 0.7346
Br 0.8442 0.7118 0.9698
Br 0.8455 0.2526 0.6366
Br 0.9420 0.2826 0.4116
Br 0.9635 0.5044 0.1422


(6)
Theoretical XRD peak list
Compound: Cs2ScPdBr6
Radiation: Cu Kα (λ = 1.5418 Å)
Structure: a crystal structure in OQMD, relaxed with PBE
Peak positions follow from Bragg's law for the DFT cell and can differ from measured ones.

The 10 most intense peaks (2θ = 15–90°), sorted by position:
two_theta  intensity
23.01  38
28.28  86
32.76  100
40.41  17
47.01  70
55.77  36
58.48  24
75.86  14
78.20  30
87.37  17

Cell and atoms:
Cell: 7.7279 7.7279 7.7279 Å, 60.06 60.06 60.06°
Fractional positions:
Cs 0.0000 0.0000 0.0000
Cs 0.4991 0.4991 0.4991
Sc 0.7498 0.7498 0.7498
Pd 0.2498 0.2498 0.2498
Br 0.0057 0.9840 0.5050
Br 0.4937 0.5159 0.9947
Br 0.5050 0.0057 0.9840
Br 0.5159 0.9947 0.4937
Br 0.9840 0.5050 0.0057
Br 0.9947 0.4937 0.5159


(7)
Theoretical XRD peak list
Compound: Tm3Zn3Pt2Au
Radiation: Cu Kα (λ = 1.5418 Å)
Structure: a crystal structure in OQMD, relaxed with PBE
Peak positions follow from Bragg's law for the DFT cell and can differ from measured ones.

The 10 most intense peaks (2θ = 15–90°), sorted by position:
two_theta  intensity
24.23  29
27.54  18
34.11  76
37.00  100
37.40  23
42.64  51
44.72  36
48.36  23
66.42  28
69.02  32

Cell and atoms:
Cell: 7.3455 7.3455 3.7640 Å, 90.00 90.00 120.00°
Fractional positions:
Tm 0.0000 0.4059 0.0000
Tm 0.4059 0.0000 0.0000
Tm 0.5941 0.5941 0.0000
Zn 0.0000 0.7350 0.5000
Zn 0.2650 0.2650 0.5000
Zn 0.7350 0.0000 0.5000
Pt 0.3333 0.6667 0.5000
Pt 0.6667 0.3333 0.5000
Au 0.0000 0.0000 0.0000


(8)
Theoretical XRD peak list
Compound: YHoCS
Radiation: Cu Kα (λ = 1.5418 Å)
Structure: a crystal structure in OQMD, relaxed with PBE
Peak positions follow from Bragg's law for the DFT cell and can differ from measured ones.

The 10 most intense peaks (2θ = 15–90°), sorted by position:
two_theta  intensity
27.71  17
27.86  30
28.72  36
34.95  100
39.70  16
49.28  30
57.49  18
57.80  16
61.83  21
82.86  16

Cell and atoms:
Cell: 3.6981 3.6981 12.8774 Å, 90.00 90.00 120.00°
Fractional positions:
Y 0.3333 0.6667 0.1046
Y 0.6667 0.3333 0.8954
Ho 0.3333 0.6667 0.3964
Ho 0.6667 0.3333 0.6036
C 0.0000 0.0000 0.0000
C 0.0000 0.0000 0.5000
S 0.3333 0.6667 0.7490
S 0.6667 0.3333 0.2510


(9)
Theoretical XRD peak list
Compound: Al2Co11
Radiation: Cu Kα (λ = 1.5418 Å)
Structure: a crystal structure in OQMD, relaxed with PBE
Peak positions follow from Bragg's law for the DFT cell and can differ from measured ones.

The 10 most intense peaks (2θ = 15–90°), sorted by position:
two_theta  intensity
22.22  28
38.77  41
43.92  47
45.14  91
45.26  100
45.74  29
47.39  57
49.11  59
52.22  32
83.19  35

Cell and atoms:
Cell: 8.4400 8.4400 8.4400 Å, 31.94 31.94 31.94°
Fractional positions:
Al 0.1659 0.1659 0.1659
Al 0.8341 0.8341 0.8341
Co 0.0000 0.0000 0.0000
Co 0.0912 0.0912 0.5841
Co 0.0912 0.5841 0.0912
Co 0.3475 0.3475 0.3475
Co 0.4159 0.9088 0.9088
Co 0.4531 0.4531 0.4531
Co 0.5469 0.5469 0.5469
Co 0.5841 0.0912 0.0912
Co 0.6525 0.6525 0.6525
Co 0.9088 0.4159 0.9088
Co 0.9088 0.9088 0.4159


(10)
Theoretical XRD peak list
Compound: Tb2Tl2SnS6
Radiation: Cu Kα (λ = 1.5418 Å)
Structure: a crystal structure in OQMD, relaxed with PBE
Peak positions follow from Bragg's law for the DFT cell and can differ from measured ones.

The 10 most intense peaks (2θ = 15–90°), sorted by position:
two_theta  intensity
15.02  24
18.96  16
23.13  26
26.17  70
35.21  100
46.18  30
52.26  19
54.84  22
59.37  22
78.35  20

Cell and atoms:
Cell: 6.8101 6.8101 7.6904 Å, 90.00 90.00 120.00°
Fractional positions:
Tb 0.3333 0.6667 0.0125
Tb 0.6667 0.3333 0.9875
Tl 0.3333 0.6667 0.5155
Tl 0.6667 0.3333 0.4845
Sn 0.0000 0.0000 0.0000
S 0.0087 0.6877 0.8062
S 0.3123 0.3210 0.8062
S 0.3210 0.0087 0.1938
S 0.6790 0.9913 0.8062
S 0.6877 0.6790 0.1938
S 0.9913 0.3123 0.1938


(11)
Theoretical XRD peak list
Compound: SmMgAg4
Radiation: Cu Kα (λ = 1.5418 Å)
Structure: a crystal structure in OQMD, relaxed with PBE
Peak positions follow from Bragg's law for the DFT cell and can differ from measured ones.

The 10 most intense peaks (2θ = 15–90°), sorted by position:
two_theta  intensity
19.35  24
22.38  12
31.86  19
37.55  100
39.29  49
45.68  8
60.56  30
66.59  26
79.01  8
80.11  13

Cell and atoms:
Cell: 5.6142 5.6142 5.6142 Å, 60.07 60.07 60.07°
Fractional positions:
Sm 0.0000 0.0000 0.0000
Mg 0.2506 0.2506 0.2506
Ag 0.1267 0.6242 0.6242
Ag 0.6242 0.1267 0.6242
Ag 0.6242 0.6242 0.1267
Ag 0.6242 0.6242 0.6242


(12)
Theoretical XRD peak list
Compound: DyCoC
Radiation: Cu Kα (λ = 1.5418 Å)
Structure: a crystal structure in OQMD, relaxed with PBE
Peak positions follow from Bragg's law for the DFT cell and can differ from measured ones.

The 10 most intense peaks (2θ = 15–90°), sorted by position:
two_theta  intensity
24.64  25
25.73  9
35.13  48
35.92  100
44.05  13
50.53  20
52.88  9
63.55  37
65.08  16
76.16  12

Cell and atoms:
Cell: 3.6125 3.6125 6.9256 Å, 90.00 90.00 90.00°
Fractional positions:
Dy 0.0000 0.0000 0.2500
Dy 0.0000 0.0000 0.7500
Co 0.5000 0.5000 0.0000
Co 0.5000 0.5000 0.5000
C 0.0000 0.5000 0.0000
C 0.5000 0.0000 0.5000